[1]
Structure and simulated powder diffractogram of Li4TiCo5O12 (a cell relaxed with GGA+U; Cu Ka).
Kinematic intensities with the Lorentz-polarization factor, no thermal factor.

Crystal structure
Unit cell a=5.000 b=5.015 c=20.163 alpha=90.26 beta=90.51 gamma=118.39
Space group P1 (No. 1)
Asymmetric unit:
Li  0.000  0.000  0.000 x1
Li  0.001  0.020  0.502 x1
Li  0.277  0.283  0.755 x1
Li  0.280  0.271  0.254 x1
Li  0.500  0.499  0.999 x1
Li  0.512  0.508  0.502 x1
Li  0.769  0.781  0.253 x1
Li  0.776  0.784  0.755 x1
Ti  0.124  0.643  0.127 x1
Ti  0.139  0.647  0.628 x1
Co  0.301  0.482  0.378 x1
Co  0.302  0.481  0.877 x1
Co  0.471  0.312  0.127 x1
Co  0.473  0.311  0.628 x1
Co  0.638  0.145  0.378 x1
Co  0.638  0.145  0.877 x1
Co  0.800  0.982  0.126 x1
Co  0.803  0.981  0.628 x1
Co  0.973  0.810  0.877 x1
Co  0.974  0.809  0.378 x1
O  0.104  0.955  0.183 x1
O  0.105  0.957  0.684 x1
O  0.161  0.323  0.073 x1
O  0.173  0.338  0.572 x1
O  0.308  0.152  0.926 x1
O  0.310  0.818  0.831 x1
O  0.321  0.830  0.329 x1
O  0.329  0.163  0.430 x1
O  0.450  0.612  0.684 x1
O  0.456  0.620  0.181 x1
O  0.469  0.983  0.079 x1
O  0.476  0.985  0.580 x1
O  0.620  0.455  0.325 x1
O  0.631  0.475  0.828 x1
O  0.644  0.815  0.926 x1
O  0.656  0.836  0.430 x1
O  0.800  0.324  0.177 x1
O  0.801  0.308  0.676 x1
O  0.828  0.667  0.069 x1
O  0.829  0.682  0.573 x1
O  0.947  0.128  0.325 x1
O  0.954  0.460  0.426 x1
O  0.965  0.473  0.924 x1
O  0.966  0.138  0.828 x1

Principal peaks in the range 2θ from 10° to 90°, by angle:
| two_theta | d/Å | I/Imax |
| --- | --- | --- |
| 17.6 | 5.040 | 100 |
| 35.0 | 2.564 | 9 |
| 37.0 | 2.432 | 21 |
| 37.1 | 2.421 | 7 |
| 39.2 | 2.298 | 9 |
| 39.6 | 2.273 | 8 |
| 45.0 | 2.013 | 17 |
| 45.2 | 2.005 | 8 |
| 45.4 | 1.997 | 8 |
| 51.2 | 1.786 | 6 |
| 58.6 | 1.575 | 10 |
| 64.1 | 1.453 | 8 |

[2]
Structure and simulated powder diffractogram of Li3Ti2Co3O10 (a cell relaxed with GGA+U; Cu Ka).
Kinematic intensities with the Lorentz-polarization factor, no thermal factor.

Crystal structure
Unit cell a=5.026 b=5.237 c=7.712 alpha=73.88 beta=74.70 gamma=81.17
Space group P-1 (No. 2)
Asymmetric unit:
Li  0.000  0.000  0.000 x1
Li  0.488  0.725  0.102 x2
Ti  0.027  0.375  0.188 x2
Co  0.015  0.190  0.607 x2
Co  0.500  0.500  0.500 x1
O  0.203  0.820  0.565 x2
O  0.216  0.620  0.972 x2
O  0.217  0.054  0.159 x2
O  0.244  0.474  0.349 x2
O  0.245  0.295  0.725 x2

Principal peaks in the range 2θ from 10° to 90°, by angle:
| two_theta | d/Å | I/Imax |
| --- | --- | --- |
| 12.3 | 7.205 | 94 |
| 17.7 | 5.012 | 36 |
| 18.4 | 4.829 | 100 |
| 23.1 | 3.845 | 24 |
| 26.7 | 3.345 | 36 |
| 27.2 | 3.276 | 21 |
| 36.8 | 2.443 | 19 |
| 41.1 | 2.198 | 72 |
| 42.6 | 2.125 | 62 |
| 45.2 | 2.005 | 54 |
| 61.4 | 1.511 | 18 |
| 62.6 | 1.485 | 18 |

[3]
Structure and simulated powder diffractogram of Li4TiCo5O12 (a cell relaxed with GGA+U; Cu Ka).
Kinematic intensities with the Lorentz-polarization factor, no thermal factor.

Crystal structure
Unit cell a=4.928 b=8.524 c=10.776 alpha=66.73 beta=85.51 gamma=89.99
Space group P1 (No. 1)
Asymmetric unit:
Li  0.000  0.000  0.000 x1
Li  0.000  0.332  0.999 x1
Li  0.074  0.588  0.488 x1
Li  0.075  0.255  0.488 x1
Li  0.499  0.833  0.999 x1
Li  0.503  0.498  0.002 x1
Li  0.573  0.759  0.484 x1
Li  0.577  0.088  0.487 x1
Ti  0.037  0.796  0.743 x1
Ti  0.536  0.288  0.744 x1
Co  0.037  0.127  0.744 x1
Co  0.037  0.460  0.744 x1
Co  0.287  0.209  0.244 x1
Co  0.287  0.545  0.244 x1
Co  0.287  0.879  0.243 x1
Co  0.537  0.963  0.743 x1
Co  0.538  0.626  0.743 x1
Co  0.787  0.045  0.243 x1
Co  0.787  0.709  0.243 x1
Co  0.788  0.379  0.243 x1
O  0.134  0.097  0.142 x1
O  0.137  0.764  0.143 x1
O  0.144  0.423  0.143 x1
O  0.212  0.679  0.632 x1
O  0.214  0.347  0.637 x1
O  0.228  0.020  0.636 x1
O  0.345  0.406  0.852 x1
O  0.346  0.068  0.852 x1
O  0.358  0.746  0.851 x1
O  0.432  0.322  0.344 x1
O  0.437  0.664  0.344 x1
O  0.441  0.996  0.345 x1
O  0.634  0.597  0.142 x1
O  0.638  0.264  0.143 x1
O  0.643  0.923  0.143 x1
O  0.717  0.856  0.634 x1
O  0.729  0.178  0.635 x1
O  0.729  0.514  0.636 x1
O  0.846  0.913  0.850 x1
O  0.861  0.240  0.851 x1
O  0.862  0.569  0.855 x1
O  0.931  0.822  0.344 x1
O  0.937  0.164  0.344 x1
O  0.941  0.496  0.345 x1

Principal peaks in the range 2θ from 10° to 90°, by angle:
| two_theta | d/Å | I/Imax |
| --- | --- | --- |
| 18.0 | 4.932 | 100 |
| 37.0 | 2.430 | 16 |
| 37.0 | 2.427 | 8 |
| 38.5 | 2.336 | 21 |
| 42.5 | 2.128 | 7 |
| 44.2 | 2.051 | 16 |
| 44.2 | 2.048 | 8 |
| 48.1 | 1.893 | 25 |
| 57.5 | 1.603 | 10 |
| 62.8 | 1.479 | 11 |
| 65.7 | 1.422 | 10 |
| 68.7 | 1.366 | 8 |

[4]
Structure and simulated powder diffractogram of Li4TiCo5O12 (a cell relaxed with GGA+U; Cu Ka).
Kinematic intensities with the Lorentz-polarization factor, no thermal factor.

Crystal structure
Unit cell a=4.943 b=8.510 c=9.950 alpha=90.00 beta=90.34 gamma=90.00
Space group C2/m (No. 12)
Asymmetric unit:
Li  0.090  0.248  0.253 x8
Ti  0.000  0.500  0.000 x2
Co  0.000  0.000  0.500 x2
Co  0.000  0.165  0.000 x4
Co  0.000  0.335  0.500 x4
O  0.161  0.000  0.897 x4
O  0.165  0.168  0.601 x8
O  0.168  0.328  0.893 x8
O  0.174  0.500  0.597 x4

Principal peaks in the range 2θ from 10° to 90°, by angle:
| two_theta | d/Å | I/Imax |
| --- | --- | --- |
| 17.8 | 4.975 | 100 |
| 36.3 | 2.472 | 7 |
| 37.6 | 2.390 | 15 |
| 37.7 | 2.387 | 14 |
| 40.7 | 2.219 | 7 |
| 40.9 | 2.208 | 11 |
| 45.9 | 1.979 | 16 |
| 46.0 | 1.973 | 16 |
| 59.7 | 1.550 | 8 |
| 59.9 | 1.545 | 9 |
| 66.2 | 1.411 | 7 |
| 66.3 | 1.409 | 7 |

[5]
Structure and simulated powder diffractogram of Li4Ti2Co3O10 (a cell relaxed with GGA+U; Cu Ka).
Kinematic intensities with the Lorentz-polarization factor, no thermal factor.

Crystal structure
Unit cell a=6.557 b=7.705 c=7.768 alpha=94.31 beta=91.59 gamma=114.70
Space group P-1 (No. 2)
Asymmetric unit:
Li  0.081  0.397  0.088 x2
Li  0.243  0.493  0.754 x2
Li  0.308  0.196  0.299 x2
Li  0.408  0.595  0.406 x2
Ti  0.045  0.699  0.533 x2
Ti  0.473  0.307  0.945 x2
Co  0.000  0.000  0.000 x1
Co  0.146  0.099  0.653 x2
Co  0.353  0.903  0.848 x2
Co  0.500  0.000  0.500 x1
O  0.053  0.862  0.764 x2
O  0.072  0.538  0.348 x2
O  0.147  0.234  0.873 x2
O  0.158  0.955  0.439 x2
O  0.248  0.667  0.962 x2
O  0.252  0.333  0.530 x2
O  0.349  0.057  0.059 x2
O  0.364  0.763  0.631 x2
O  0.423  0.454  0.155 x2
O  0.445  0.140  0.727 x2

Principal peaks in the range 2θ from 10° to 90°, by angle:
| two_theta | d/Å | I/Imax |
| --- | --- | --- |
| 12.7 | 6.968 | 100 |
| 18.2 | 4.868 | 92 |
| 18.7 | 4.736 | 26 |
| 23.0 | 3.865 | 18 |
| 27.1 | 3.291 | 23 |
| 36.4 | 2.470 | 17 |
| 37.8 | 2.378 | 17 |
| 43.5 | 2.081 | 56 |
| 43.7 | 2.070 | 62 |
| 44.0 | 2.059 | 54 |
| 62.7 | 1.481 | 16 |
| 63.0 | 1.475 | 29 |

[6]
Structure and simulated powder diffractogram of Li4TiCo5O12 (a cell relaxed with GGA+U; Cu Ka).
Kinematic intensities with the Lorentz-polarization factor, no thermal factor.

Crystal structure
Unit cell a=19.868 b=8.538 c=4.960 alpha=90.00 beta=94.96 gamma=90.00
Space group C2/m (No. 12)
Asymmetric unit:
Li  0.123  0.168  0.218 x8
Li  0.123  0.329  0.710 x8
Ti  0.249  0.500  0.247 x4
Co  0.000  0.000  0.000 x2
Co  0.000  0.165  0.500 x4
Co  0.000  0.334  0.000 x4
Co  0.000  0.500  0.500 x2
Co  0.250  0.166  0.250 x8
O  0.049  0.500  0.840 x4
O  0.050  0.169  0.850 x8
O  0.051  0.000  0.346 x4
O  0.056  0.316  0.375 x8
O  0.196  0.328  0.059 x8
O  0.197  0.000  0.074 x4
O  0.197  0.171  0.561 x8
O  0.197  0.500  0.573 x4

Principal peaks in the range 2θ from 10° to 90°, by angle:
| two_theta | d/Å | I/Imax |
| --- | --- | --- |
| 17.9 | 4.948 | 100 |
| 36.7 | 2.447 | 8 |
| 36.9 | 2.434 | 16 |
| 38.3 | 2.350 | 8 |
| 38.4 | 2.343 | 14 |
| 43.8 | 2.065 | 8 |
| 44.1 | 2.054 | 16 |
| 47.9 | 1.900 | 25 |
| 57.0 | 1.614 | 5 |
| 57.3 | 1.607 | 10 |
| 62.6 | 1.484 | 10 |
| 65.3 | 1.430 | 10 |